# Mg6ZnCoO8
Simulated powder diffraction line list, Cu Ka. Input: a structure optimized by DFT (PBE+U).
No peak broadening, texture or thermal motion is included.

Most intense lines, 5 to 70 degrees two-theta, by intensity:
2θ = 42.4°, I = 100; 2θ = 61.3°, I = 58; 2θ = 42.1°, I = 51; 2θ = 36.4°, I = 44; 2θ = 61.6°, I = 29; 2θ = 20.9°, I = 25; 2θ = 29.5°, I = 22; 2θ = 20.7°, I = 13; 2θ = 47.7°, I = 11; 2θ = 29.7°, I = 11

Structural model:
abc: 4.2596 4.2596 8.5949
angles: 90.00 90.00 90.00
Space group P4/mmm (No. 123)
Inequivalent atoms, fractional coordinates:
Mg (0.0000, 0.0000, 0.0000) x1
Mg (0.0000, 0.0000, 0.5000) x1
Mg (0.0000, 0.5000, 0.2495) x4
Zn (0.5000, 0.5000, 0.0000) x1
Co (0.5000, 0.5000, 0.5000) x1
O (0.0000, 0.0000, 0.2509) x2
O (0.0000, 0.5000, 0.0000) x2
O (0.0000, 0.5000, 0.5000) x2
O (0.5000, 0.5000, 0.2490) x2